Structure and theoretical X-ray diffraction stick pattern of Pm2Sm3Er7 (DFT lattice parameters and positions (PBE); Cu Kα (λ = 1.5418 Å)).
Intensities are scaled so that the largest is 100.

Structural model:
```
12
Lattice="6.357 0.000 0.000 0.000 3.536 0.000 -0.008 0.000 17.235" Properties=species:S:1:pos:R:3 pbc="T T T"
Pm 0.040 0.000 3.018
Pm 6.309 0.000 14.217
Sm -0.004 0.000 8.618
Sm 3.175 1.768 2.751
Sm 3.174 1.768 14.484
Er 1.115 1.768 5.799
Er 1.618 0.000 0.002
Er 2.077 0.000 11.456
Er 3.175 1.768 8.618
Er 4.272 0.000 5.779
Er 4.731 0.000 17.234
Er 5.234 1.768 11.437
```

Principal peaks in the range 2θ from 5° to 70°, low angle first:
| two_theta | I (rel.) |
| --- | --- |
| 29.36 | 24 |
| 30.73 | 24 |
| 31.14 | 69 |
| 32.19 | 94 |
| 32.91 | 100 |
| 50.19 | 26 |
| 51.70 | 23 |
| 60.25 | 29 |
| 61.59 | 23 |
| 62.22 | 31 |

Structure and theoretical X-ray diffraction stick pattern of Pm2Sm2Er5 (DFT lattice parameters and positions (PBE); Cu Kα (λ = 1.5418 Å)).
Intensities are scaled so that the largest is 100.

Structural model:
```
18
Lattice="-7.469 5.896 3.364 7.469 -5.896 3.364 7.469 5.896 -3.364" Properties=species:S:1:pos:R:3 pbc="T T T"
Pm 1.894 0.056 0.000
Pm 5.575 0.056 0.000
Pm 1.894 5.840 3.364
Pm 5.575 5.840 3.364
Sm 0.000 0.000 3.034
Sm 7.469 0.000 3.034
Sm 3.735 -0.132 3.702
Sm 3.735 6.028 0.337
Er 3.735 2.916 -1.013
Er 9.596 3.118 -1.115
Er 5.343 -2.778 2.250
Er 0.795 3.038 1.003
Er 6.674 3.038 1.003
Er -2.126 2.778 2.250
Er 9.596 2.778 2.250
Er 3.735 2.981 2.352
Er -0.795 8.754 1.003
Er 0.795 2.858 4.368
```

Principal peaks in the range 2θ from 5° to 70°, low angle first:
| two_theta | I (rel.) |
| --- | --- |
| 28.36 | 80 |
| 30.32 | 100 |
| 30.59 | 74 |
| 30.87 | 63 |
| 32.91 | 69 |
| 33.02 | 52 |
| 35.75 | 52 |
| 37.82 | 42 |
| 39.63 | 28 |
| 58.67 | 24 |

Structure and theoretical X-ray diffraction stick pattern of Pm3Sm2Er3 (DFT lattice parameters and positions (PBE); Cu Kα (λ = 1.5418 Å)).
Intensities are scaled so that the largest is 100.

Structural model:
```
16
Lattice="5.754 0.000 0.000 0.000 14.607 0.000 -0.006 0.000 6.304" Properties=species:S:1:pos:R:3 pbc="T T T"
Pm 1.433 3.652 1.052
Pm 1.437 9.115 4.194
Pm 1.437 12.796 4.194
Pm 4.311 1.811 2.110
Pm 4.311 5.492 2.110
Pm 4.316 10.955 5.253
Sm 1.435 1.818 4.221
Sm 1.435 5.486 4.221
Sm 4.313 9.121 2.083
Sm 4.313 12.789 2.083
Er 1.437 7.312 1.042
Er 1.440 10.955 1.036
Er 1.437 14.599 1.042
Er 4.312 0.008 5.262
Er 4.309 3.652 5.269
Er 4.312 7.296 5.262
```

Principal peaks in the range 2θ from 5° to 70°, low angle first:
| two_theta | I (rel.) |
| --- | --- |
| 28.26 | 24 |
| 31.08 | 25 |
| 32.34 | 100 |
| 42.51 | 16 |
| 49.95 | 7 |
| 50.08 | 13 |
| 56.10 | 21 |
| 60.05 | 15 |
| 60.15 | 8 |
| 60.79 | 11 |

Structure and theoretical X-ray diffraction stick pattern of Pm2SmEr2 (DFT lattice parameters and positions (PBE); Cu Kα (λ = 1.5418 Å)).
Intensities are scaled so that the largest is 100.

Structural model:
```
10
Lattice="6.223 0.000 0.000 0.000 3.591 0.000 -0.015 0.000 14.614" Properties=species:S:1:pos:R:3 pbc="T T T"
Pm 1.037 0.000 5.787
Pm 2.060 1.795 8.827
Pm 4.148 1.795 5.787
Pm 5.171 0.000 8.827
Sm 0.000 1.795 0.000
Sm 3.111 0.000 0.000
Er 1.020 0.000 11.720
Er 2.076 1.795 2.894
Er 4.131 1.795 11.720
Er 5.188 0.000 2.894
```

Principal peaks in the range 2θ from 5° to 70°, low angle first:
| two_theta | I (rel.) |
| --- | --- |
| 29.36 | 30 |
| 30.59 | 45 |
| 31.25 | 100 |
| 34.20 | 70 |
| 37.99 | 19 |
| 50.84 | 33 |
| 52.81 | 25 |
| 58.60 | 13 |
| 60.51 | 39 |
| 60.90 | 15 |